Simulated X-ray diffraction stick pattern of MnCoPIrF for CuKα, from a DFT-relaxed cell (PBE+U, Alexandria).
Kinematic intensities with the Lorentz-polarization factor, no thermal factor.

Most intense lines, 2θ = 10–90°, in order of rising 2θ:
- (0 0 1), d 7.985, rel. 100
- (1 0 0), d 3.000, rel. 14
- (0 1 1), d 2.834, rel. 38
- (1 0 1), d 2.809, rel. 15
- (0 0 3), d 2.662, rel. 13
- (0 1 2), d 2.414, rel. 28
- (1 0 2), d 2.399, rel. 26
- (1 1 1), d 2.060, rel. 41
- (0 0 4), d 1.998, rel. 14
- (1 0 3), d 1.991, rel. 22
- (1 1 2), d 1.881, rel. 16
- (1 2 3), d 1.206, rel. 11

```
5
Lattice="3.000 0.000 0.000 0.000 3.031 0.000 0.000 0.000 7.985" Properties=species:S:1:pos:R:3 pbc="T T T"
Mn 0.000 0.000 0.000
Co 1.500 0.000 3.617
P 0.000 1.516 4.400
Ir 1.500 1.516 6.163
F 1.500 0.000 1.519
```